Entry 1:
Diffraction record for Zr3PPt. The powder XRD pattern is theoretical, not measured: it uses a crystal structure in OQMD, relaxed with GGA-PBE and Cu Kα, 1.54184 Å.
Kinematic intensities with the Lorentz-polarization factor, no thermal factor.

Atomic structure:
Cell lengths 3.625, 11.689, 9.616 Å; angles 90.00, 90.00, 90.00 degrees
Space group Cmcm (No. 63)
One atom of each set of equivalent atoms:
Zr: 0.000 0.070 0.250
Zr: 0.000 0.354 0.069
P: 0.000 0.000 0.000
Pt: 0.000 0.251 0.750

Main lines, by angle (2θ from 10° to 90°):
- 2θ 15.16, I = 41, (0 2 0)
- 2θ 23.97, I = 23, (0 2 2)
- 2θ 31.85, I = 63, (0 2 3)
- 2θ 33.77, I = 31, (1 3 0)
- 2θ 35.08, I = 100, (1 3 1)
- 2θ 35.96, I = 30, (0 4 2)
- 2θ 38.27, I = 70, (1 1 3)
- 2θ 44.31, I = 25, (1 3 3)
- 2θ 50.55, I = 27, (0 6 2)
- 2θ 59.35, I = 26, (1 3 5)



Entry 2:
Diffraction record for Pu6P5S. The powder XRD pattern is theoretical, not measured: it uses a crystal structure in OQMD, relaxed with GGA-PBE and Cu Kα, 1.54184 Å.
Kinematic intensities with the Lorentz-polarization factor, no thermal factor.

Atomic structure:
Cell lengths 6.919, 11.983, 6.919 Å; angles 90.00, 109.47, 90.00 degrees
Space group C2/m (No. 12)
One atom of each set of equivalent atoms:
Pu: 0.250 0.000 0.250
Pu: 0.250 0.167 0.749
P: 0.000 0.000 0.500
P: 0.000 0.167 0.000
P: 0.000 0.334 0.500
S: 0.000 0.500 0.000

Main lines, by angle (2θ from 10° to 90°):
- 2θ 27.34, I = 100, (2 0 0)
- 2θ 31.68, I = 90, (1 3 1)
- 2θ 45.41, I = 67, (2 0 2)
- 2θ 53.82, I = 50, (3 3 1)
- 2θ 56.42, I = 24, (4 0 0)
- 2θ 66.17, I = 11, (2 6 2)
- 2θ 73.00, I = 21, (4 0 2)
- 2θ 75.22, I = 31, (4 6 0)
- 2θ 83.91, I = 24, (5 3 1)



Entry 3:
Diffraction record for PuPS. The powder XRD pattern is theoretical, not measured: it uses a crystal structure in OQMD, relaxed with GGA-PBE and Cu Kα, 1.54184 Å.
Kinematic intensities with the Lorentz-polarization factor, no thermal factor.

Atomic structure:
Cell lengths 3.763, 3.763, 16.081 Å; angles 90.00, 90.00, 90.00 degrees
Space group I4/mmm (No. 139)
One atom of each set of equivalent atoms:
Pu: 0.000 0.000 0.139
P: 0.000 0.500 0.000
S: 0.000 0.000 0.317

Main lines, by angle (2θ from 10° to 90°):
- 2θ 22.11, I = 60, (0 0 4)
- 2θ 24.29, I = 97, (1 0 1)
- 2θ 28.99, I = 100, (1 0 3)
- 2θ 33.68, I = 65, (1 1 0)
- 2θ 40.66, I = 90, (1 1 4)
- 2θ 46.30, I = 55, (1 0 7)
- 2θ 48.38, I = 38, (2 0 0)
- 2θ 53.79, I = 24, (2 0 4)
- 2θ 57.40, I = 40, (2 1 3)
- 2θ 69.20, I = 34, (2 1 7)



Entry 4:
Diffraction record for Rb3SmP2S8. The powder XRD pattern is theoretical, not measured: it uses a crystal structure in OQMD, relaxed with GGA-PBE and Cu Kα, 1.54184 Å.
Kinematic intensities with the Lorentz-polarization factor, no thermal factor.

Atomic structure:
Cell lengths 9.822, 6.830, 11.566 Å; angles 90.00, 90.48, 90.00 degrees
Space group P2_1 (No. 4)
One atom of each set of equivalent atoms:
Rb: 0.100 0.000 0.152
Rb: 0.138 0.493 0.409
Rb: 0.337 0.499 0.928
Sm: 0.388 0.978 0.649
P: 0.132 0.001 0.811
P: 0.411 0.020 0.341
S: 0.052 0.507 0.111
S: 0.151 0.753 0.708
S: 0.159 0.238 0.703
S: 0.236 0.996 0.436
S: 0.302 0.996 0.915
S: 0.402 0.258 0.233
S: 0.435 0.582 0.542
S: 0.439 0.774 0.244

Main lines, by angle (2θ from 10° to 90°):
- 2θ 11.87, I = 44, (1 0 1)
- 2θ 20.12, I = 62, (0 1 2)
- 2θ 23.55, I = 55, (2 1 -1)
- 2θ 23.65, I = 60, (2 1 1)
- 2θ 26.10, I = 75, (0 2 0)
- 2θ 29.58, I = 50, (2 0 3)
- 2θ 32.19, I = 45, (1 0 -4)
- 2θ 32.40, I = 53, (2 1 3)
- 2θ 32.88, I = 100, (2 2 1)
- 2θ 40.90, I = 36, (0 2 4)



Entry 5:
Diffraction record for RbZnPS4. The powder XRD pattern is theoretical, not measured: it uses a crystal structure in OQMD, relaxed with GGA-PBE and Cu Kα, 1.54184 Å.
Kinematic intensities with the Lorentz-polarization factor, no thermal factor.

Atomic structure:
Cell lengths 8.361, 8.361, 12.314 Å; angles 90.00, 90.00, 90.00 degrees
Space group I4/mcm (No. 140)
One atom of each set of equivalent atoms:
Rb: 0.000 0.000 0.250
Zn: 0.000 0.500 0.000
P: 0.000 0.500 0.250
S: 0.136 0.364 0.145

Main lines, by angle (2θ from 10° to 90°):
- 2θ 14.98, I = 51, (1 1 0)
- 2θ 20.83, I = 87, (1 1 2)
- 2θ 21.25, I = 100, (2 0 0)
- 2θ 24.89, I = 38, (2 1 1)
- 2θ 30.23, I = 52, (2 2 0)
- 2θ 32.39, I = 40, (2 1 3)
- 2θ 36.24, I = 72, (2 0 4)
- 2θ 37.00, I = 69, (3 1 2)
- 2θ 42.39, I = 38, (2 2 4)
- 2θ 52.95, I = 48, (4 0 4)



Entry 6:
Diffraction record for ReP4. The powder XRD pattern is theoretical, not measured: it uses a crystal structure in OQMD, relaxed with GGA-PBE and Cu Kα, 1.54184 Å.
Kinematic intensities with the Lorentz-polarization factor, no thermal factor.

Atomic structure:
Cell lengths 6.255, 9.277, 10.920 Å; angles 90.00, 90.00, 90.00 degrees
Space group Pbca (No. 61)
One atom of each set of equivalent atoms:
Re: 0.122 0.110 0.076
P: 0.002 0.709 0.069
P: 0.061 0.218 0.736
P: 0.189 0.552 0.738
P: 0.245 0.544 0.419

Main lines, by angle (2θ from 10° to 90°):
- 2θ 16.23, I = 21, (0 0 2)
- 2θ 18.94, I = 68, (1 1 1)
- 2θ 21.60, I = 24, (1 0 2)
- 2θ 25.25, I = 45, (1 2 1)
- 2θ 30.15, I = 26, (2 1 0)
- 2θ 31.24, I = 100, (0 2 3)
- 2θ 36.35, I = 22, (1 3 2)
- 2θ 39.20, I = 23, (2 1 3)
- 2θ 46.68, I = 28, (1 3 4)
- 2θ 52.06, I = 22, (1 5 1)



Entry 7:
Diffraction record for Re6P13. The powder XRD pattern is theoretical, not measured: it uses a crystal structure in OQMD, relaxed with GGA-PBE and Cu Kα, 1.54184 Å.
Kinematic intensities with the Lorentz-polarization factor, no thermal factor.

Atomic structure:
Cell lengths 15.7381, 15.7381, 8.3751 Å; angles 90.00, 90.00, 120.00 degrees
Space group R-3 (No. 148, hexagonal axes)
One atom of each set of equivalent atoms:
Re: 0.0229 0.5560 0.1459
Re: 0.0413 0.8546 0.1888
P: 0.0000 0.0000 0.1315
P: 0.0104 0.1982 0.0862
P: 0.0147 0.4004 0.1058
P: 0.0517 0.9097 0.4454
P: 0.0715 0.5394 0.4277

Main lines, by angle (2θ from 10° to 90°):
- 2θ 16.77, I = 95, (0 2 1)
- 2θ 19.54, I = 36, (3 0 0)
- 2θ 20.24, I = 38, (3 -1 1)
- 2θ 25.86, I = 100, (4 -3 1)
- 2θ 30.05, I = 36, (1 4 0)
- 2θ 32.06, I = 63, (0 0 3)
- 2θ 34.60, I = 42, (0 5 1)
- 2θ 42.79, I = 42, (6 -5 2)
- 2θ 44.93, I = 46, (1 6 1)
- 2θ 48.92, I = 42, (7 -1 2)



Entry 8:
Diffraction record for Zr9Re4P. The powder XRD pattern is theoretical, not measured: it uses a crystal structure in OQMD, relaxed with GGA-PBE and Cu Kα, 1.54184 Å.
Kinematic intensities with the Lorentz-polarization factor, no thermal factor.

Atomic structure:
Cell lengths 8.5403, 8.5403, 8.8243 Å; angles 90.00, 90.00, 120.00 degrees
Space group P6_3/mmc (No. 194)
One atom of each set of equivalent atoms:
Zr: 0.0722 0.5361 0.2500
Zr: 0.1978 0.3956 0.5474
Re: 0.0000 0.0000 0.0000
Re: 0.1055 0.2109 0.2500
P: 0.3333 0.6667 0.7500

Main lines, by angle (2θ from 10° to 90°):
- 2θ 11.97, I = 100, (1 0 0)
- 2θ 37.89, I = 59, (3 0 1)
- 2θ 38.11, I = 93, (2 1 2)
- 2θ 39.13, I = 31, (2 0 3)
- 2θ 40.91, I = 20, (0 0 4)
- 2θ 63.26, I = 15, (0 0 6)
- 2θ 64.99, I = 21, (3 0 5)
- 2θ 65.59, I = 13, (3 3 0)
- 2θ 66.69, I = 17, (5 0 2)
- 2θ 80.28, I = 13, (3 3 4)